Record 1
In4Ga5Bi: simulated powder diffraction line list (Cu Kα (weighted mean of Kα1 and Kα2)), based on a cell relaxed with GGA-PBE.

Main lines, by angle (2θ = 10–90°):
two_theta	d_spacing	I/Imax
21.2	4.198	15
27.2	3.274	46
32.3	2.770	37
34.4	2.607	24
36.9	2.439	100
39.3	2.293	23
51.2	1.785	14
53.2	1.722	12
66.4	1.409	12
69.6	1.350	13

Crystal structure
Unit cell a=10.3646 b=10.4279 c=4.5866 alpha=90.00 beta=90.00 gamma=90.00
Sites, in units of the cell vectors:
In1 0.0579 0.2500 0.2115
In2 0.2500 0.5339 0.2405
In3 0.2500 0.9661 0.2405
In4 0.4421 0.2500 0.2115
In5 0.5579 0.7500 0.7885
In6 0.7500 0.0339 0.7595
In7 0.7500 0.4661 0.7595
In8 0.9421 0.7500 0.7885
Ga1 0.0717 0.0358 0.7430
Ga2 0.0717 0.4642 0.7430
Ga3 0.2500 0.2500 0.7013
Ga4 0.4283 0.0358 0.7430
Ga5 0.4283 0.4642 0.7430
Ga6 0.5717 0.5358 0.2570
Ga7 0.5717 0.9642 0.2570
Ga8 0.7500 0.7500 0.2987
Ga9 0.9283 0.5358 0.2570
Ga10 0.9283 0.9642 0.2570
Bi1 0.2500 0.7500 0.7346
Bi2 0.7500 0.2500 0.2654


Record 2
CaAsH5O6: simulated powder diffraction line list (Cu Kα (weighted mean of Kα1 and Kα2)), based on a cell relaxed with GGA-PBE.

Main lines, by angle (2θ = 10–90°):
two_theta	d_spacing	I/Imax
11.5	7.717	100
17.1	5.199	28
20.6	4.305	97
28.8	3.096	72
29.1	3.069	64
32.4	2.761	36
33.3	2.689	46
35.5	2.529	26
36.6	2.458	16
47.5	1.915	22

Crystal structure
Unit cell a=8.4133 b=8.4133 c=6.0602 alpha=101.89 beta=101.89 gamma=133.07
Sites, in units of the cell vectors:
Ca1 0.1715 0.8285 0.5000
Ca2 0.8285 0.1715 0.0000
As1 0.3038 0.6553 0.9845
As2 0.6553 0.3038 0.4845
H1 0.1541 0.3246 0.5198
H2 0.2435 0.2626 0.3493
H3 0.2626 0.2435 0.8493
H4 0.3246 0.1541 0.0198
H5 0.5289 0.6635 0.6125
H6 0.6227 0.9573 0.4029
H7 0.6635 0.5289 0.1125
H8 0.7502 0.7698 0.2739
H9 0.7698 0.7502 0.7739
H10 0.9573 0.6227 0.9029
O1 0.1164 0.6170 0.1029
O2 0.1648 0.3668 0.8226
O3 0.1777 0.3258 0.3647
O4 0.3258 0.1777 0.8647
O5 0.3668 0.1648 0.3226
O6 0.3717 0.8181 0.8219
O7 0.6021 0.8528 0.2512
O8 0.6170 0.1164 0.6029
O9 0.6988 0.8068 0.7597
O10 0.8068 0.6988 0.2597
O11 0.8181 0.3717 0.3219
O12 0.8528 0.6021 0.7512


Record 3
NaUAsO5: simulated powder diffraction line list (Cu Kα (weighted mean of Kα1 and Kα2)), based on a cell relaxed with GGA-PBE.

Main lines, by angle (2θ = 10–90°):
two_theta	d_spacing	I/Imax
15.7	5.635	89
19.3	4.602	30
22.9	3.878	100
25.0	3.563	56
31.0	2.881	25
31.3	2.854	24
31.8	2.818	56
33.9	2.645	24
34.5	2.603	24
48.4	1.879	29

Crystal structure
Unit cell a=6.1790 b=6.1790 c=8.3773 alpha=108.31 beta=108.31 gamma=96.27
Sites, in units of the cell vectors:
Na1 0.0644 0.9356 0.7500
Na2 0.9356 0.0644 0.2500
U1 0.0000 0.5000 0.0000
U2 0.5000 0.0000 0.5000
As1 0.4113 0.5887 0.7500
As2 0.5887 0.4113 0.2500
O1 0.1814 0.2678 0.0128
O2 0.1976 0.6305 0.8465
O3 0.2493 0.7507 0.2500
O4 0.2678 0.1814 0.5128
O5 0.3695 0.8024 0.6535
O6 0.6305 0.1976 0.3465
O7 0.7322 0.8186 0.4872
O8 0.7507 0.2493 0.7500
O9 0.8024 0.3695 0.1535
O10 0.8186 0.7322 0.9872


Record 4
TmLuAlCo: simulated powder diffraction line list (Cu Kα (weighted mean of Kα1 and Kα2)), based on a cell relaxed with GGA-PBE.

Main lines, by angle (2θ = 10–90°):
two_theta	d_spacing	I/Imax
22.4	3.965	2
25.9	3.434	42
37.0	2.428	100
43.7	2.071	1
45.8	1.983	13
53.4	1.717	17
60.3	1.536	17
66.7	1.402	35
78.8	1.214	11
84.7	1.145	9

Crystal structure
Unit cell a=6.8678 b=6.8678 c=6.8678 alpha=90.00 beta=90.00 gamma=90.00
Sites, in units of the cell vectors:
Tm1 0.0000 0.0000 0.0000
Tm2 0.0000 0.5000 0.5000
Tm3 0.5000 0.0000 0.5000
Tm4 0.5000 0.5000 0.0000
Lu1 0.0000 0.0000 0.5000
Lu2 0.0000 0.5000 0.0000
Lu3 0.5000 0.0000 0.0000
Lu4 0.5000 0.5000 0.5000
Al1 0.2500 0.2500 0.2500
Al2 0.2500 0.7500 0.7500
Al3 0.7500 0.2500 0.7500
Al4 0.7500 0.7500 0.2500
Co1 0.2500 0.2500 0.7500
Co2 0.2500 0.7500 0.2500
Co3 0.7500 0.2500 0.2500
Co4 0.7500 0.7500 0.7500


Record 5
SmAg12Hg6: simulated powder diffraction line list (Cu Kα (weighted mean of Kα1 and Kα2)), based on a cell relaxed with GGA-PBE.

Main lines, by angle (2θ = 10–90°):
two_theta	d_spacing	I/Imax
24.0	3.714	52
24.9	3.572	33
31.4	2.846	36
31.7	2.824	41
37.8	2.381	89
38.0	2.369	100
41.1	2.194	62
41.4	2.179	69
46.6	1.948	42
73.6	1.286	32

Crystal structure
Unit cell a=7.7928 b=7.7928 c=7.7928 alpha=104.21 beta=104.21 gamma=104.21
Sites, in units of the cell vectors:
Sm1 0.0000 0.0000 0.0000
Ag1 0.1093 0.3500 0.3500
Ag2 0.1096 0.5000 0.8904
Ag3 0.1096 0.8904 0.5000
Ag4 0.3500 0.1093 0.3500
Ag5 0.3500 0.3500 0.1093
Ag6 0.5000 0.1096 0.8904
Ag7 0.5000 0.8904 0.1096
Ag8 0.6500 0.6500 0.8907
Ag9 0.6500 0.8907 0.6500
Ag10 0.8904 0.1096 0.5000
Ag11 0.8904 0.5000 0.1096
Ag12 0.8907 0.6500 0.6500
Hg1 0.2960 0.2960 0.6990
Hg2 0.2960 0.6990 0.2960
Hg3 0.3010 0.7040 0.7040
Hg4 0.6990 0.2960 0.2960
Hg5 0.7040 0.3010 0.7040
Hg6 0.7040 0.7040 0.3010


Record 6
Er4C3F: simulated powder diffraction line list (Cu Kα (weighted mean of Kα1 and Kα2)), based on a cell relaxed with GGA-PBE.

Main lines, by angle (2θ = 10–90°):
two_theta	d_spacing	I/Imax
30.8	2.899	100
35.7	2.513	46
35.8	2.506	23
51.5	1.775	47
61.2	1.515	28
61.3	1.512	15
64.3	1.450	16
84.0	1.152	11
86.6	1.124	13
86.9	1.121	7

Crystal structure
Unit cell a=7.1104 b=10.0254 c=3.5534 alpha=90.00 beta=90.00 gamma=90.00
Sites, in units of the cell vectors:
Er1 0.0000 0.2437 0.0000
Er2 0.0000 0.7563 0.0000
Er3 0.2288 0.0000 0.5000
Er4 0.2712 0.5000 0.5000
Er5 0.5000 0.2563 0.0000
Er6 0.5000 0.7437 0.0000
Er7 0.7288 0.5000 0.5000
Er8 0.7712 0.0000 0.5000
C1 0.0000 0.0000 0.0000
C2 0.2500 0.2500 0.5000
C3 0.2500 0.7500 0.5000
C4 0.5000 0.5000 0.0000
C5 0.7500 0.2500 0.5000
C6 0.7500 0.7500 0.5000
F1 0.0000 0.5000 0.0000
F2 0.5000 0.0000 0.0000


Record 7
Na2InHg12: simulated powder diffraction line list (Cu Kα (weighted mean of Kα1 and Kα2)), based on a cell relaxed with GGA-PBE.

Main lines, by angle (2θ = 10–90°):
two_theta	d_spacing	I/Imax
15.9	5.569	27
21.6	4.121	56
29.6	3.019	73
32.8	2.733	31
35.0	2.565	24
36.3	2.475	30
37.5	2.396	100
40.7	2.218	63
55.6	1.652	26
70.1	1.342	37

Crystal structure
Unit cell a=6.2724 b=6.2724 c=22.2764 alpha=90.00 beta=90.00 gamma=90.00
Sites, in units of the cell vectors:
Na1 0.2500 0.7500 0.2471
Na2 0.2500 0.7500 0.7529
Na3 0.7500 0.2500 0.2471
Na4 0.7500 0.2500 0.7529
In1 0.2500 0.7500 0.5000
In2 0.7500 0.2500 0.5000
Hg1 0.0026 0.5026 0.4003
Hg2 0.0026 0.9974 0.5997
Hg3 0.0582 0.5582 0.0679
Hg4 0.0582 0.9418 0.9321
Hg5 0.2500 0.2500 0.1682
Hg6 0.2500 0.2500 0.3013
Hg7 0.2500 0.2500 0.6987
Hg8 0.2500 0.2500 0.8318
Hg9 0.4418 0.5582 0.9321
Hg10 0.4418 0.9418 0.0679
Hg11 0.4974 0.5026 0.5997
Hg12 0.4974 0.9974 0.4003
Hg13 0.5026 0.0026 0.5997
Hg14 0.5026 0.4974 0.4003
Hg15 0.5582 0.0582 0.9321
Hg16 0.5582 0.4418 0.0679
Hg17 0.7500 0.7500 0.1682
Hg18 0.7500 0.7500 0.3013
Hg19 0.7500 0.7500 0.6987
Hg20 0.7500 0.7500 0.8318
Hg21 0.9418 0.0582 0.0679
Hg22 0.9418 0.4418 0.9321
Hg23 0.9974 0.0026 0.4003
Hg24 0.9974 0.4974 0.5997


Record 8
CePmPr: simulated powder diffraction line list (Cu Kα (weighted mean of Kα1 and Kα2)), based on a cell relaxed with GGA-PBE.

Main lines, by angle (2θ = 10–90°):
two_theta	d_spacing	I/Imax
30.5	2.932	100
35.2	2.551	16
35.4	2.533	34
50.8	1.798	23
51.0	1.791	12
60.2	1.537	12
60.6	1.528	29
63.5	1.466	12
82.8	1.166	10
83.1	1.163	6

Crystal structure
Unit cell a=3.5820 b=3.5820 c=15.3087 alpha=90.00 beta=90.00 gamma=90.00
Sites, in units of the cell vectors:
Ce1 0.0000 0.0000 0.0000
Ce2 0.5000 0.5000 0.5000
Pm1 0.0000 0.0000 0.3434
Pm2 0.5000 0.5000 0.8434
Pr1 0.0000 0.0000 0.6591
Pr2 0.5000 0.5000 0.1591


Record 9
K2U2PaS6: simulated powder diffraction line list (Cu Kα (weighted mean of Kα1 and Kα2)), based on a cell relaxed with GGA-PBE.

Main lines, by angle (2θ = 10–90°):
two_theta	d_spacing	I/Imax
11.6	7.618	100
23.4	3.809	17
26.1	3.417	36
27.0	3.308	32
30.2	2.957	69
32.5	2.757	16
37.9	2.373	23
41.0	2.202	27
45.5	1.995	23
47.1	1.930	20

Crystal structure
Unit cell a=6.9099 b=6.9099 c=7.9578 alpha=98.32 beta=98.32 gamma=119.94
Sites, in units of the cell vectors:
K1 0.1677 0.8323 0.0000
K2 0.8323 0.1677 0.0000
U1 0.3349 0.6651 0.5000
U2 0.6651 0.3349 0.5000
Pa1 0.0000 0.0000 0.5000
S1 0.0638 0.3971 0.6981
S2 0.2623 0.2623 0.2995
S3 0.3971 0.0638 0.6981
S4 0.6029 0.9362 0.3019
S5 0.7377 0.7377 0.7005
S6 0.9362 0.6029 0.3019


Record 10
SmHoGaGe: simulated powder diffraction line list (Cu Kα (weighted mean of Kα1 and Kα2)), based on a cell relaxed with GGA-PBE.

Main lines, by angle (2θ = 10–90°):
two_theta	d_spacing	I/Imax
27.5	3.242	24
31.3	2.857	100
32.0	2.793	40
32.8	2.728	28
39.2	2.296	51
39.9	2.259	17
41.4	2.181	26
45.0	2.016	20
56.3	1.635	16
62.8	1.480	15

Crystal structure
Unit cell a=4.0318 b=4.3619 c=10.9108 alpha=90.00 beta=90.00 gamma=90.00
Sites, in units of the cell vectors:
Sm1 0.0000 0.0000 0.0000
Sm2 0.0000 0.5000 0.5000
Ho1 0.5000 0.0000 0.2795
Ho2 0.5000 0.5000 0.7795
Ga1 0.5000 0.0000 0.5635
Ga2 0.5000 0.5000 0.0635
Ge1 0.0000 0.0000 0.7198
Ge2 0.0000 0.5000 0.2198


Record 11
CsMo5S8: simulated powder diffraction line list (Cu Kα (weighted mean of Kα1 and Kα2)), based on a cell relaxed with GGA-PBE.

Main lines, by angle (2θ = 10–90°):
two_theta	d_spacing	I/Imax
19.6	4.521	100
20.7	4.286	81
30.2	2.959	38
31.6	2.828	45
34.2	2.622	68
39.9	2.258	55
40.9	2.207	48
41.7	2.164	91
52.1	1.755	51
56.5	1.630	30

Crystal structure
Unit cell a=9.5143 b=9.5143 c=8.8873 alpha=105.06 beta=105.06 gamma=19.73
Sites, in units of the cell vectors:
Cs1 0.0000 0.0000 0.0000
Mo1 0.1595 0.1595 0.4975
Mo2 0.2048 0.2048 0.8385
Mo3 0.4757 0.4757 0.4777
Mo4 0.7791 0.7791 0.1066
Mo5 0.8516 0.8516 0.4889
S1 0.0709 0.0709 0.6411
S2 0.2564 0.2564 0.3192
S3 0.3316 0.3316 0.9720
S4 0.4126 0.4126 0.6749
S5 0.5785 0.5785 0.3324
S6 0.6527 0.6527 0.9781
S7 0.7483 0.7483 0.6430
S8 0.9149 0.9149 0.2895


Record 12
Y3IrPb: simulated powder diffraction line list (Cu Kα (weighted mean of Kα1 and Kα2)), based on a cell relaxed with GGA-PBE.

Main lines, by angle (2θ = 10–90°):
two_theta	d_spacing	I/Imax
19.7	4.516	23
22.9	3.880	23
26.8	3.328	21
27.6	3.228	37
29.6	3.018	23
30.7	2.908	39
33.4	2.679	100
37.5	2.398	43
38.7	2.327	48
56.4	1.631	23

Crystal structure
Unit cell a=7.8984 b=7.8984 c=5.8170 alpha=90.00 beta=90.00 gamma=130.16
Sites, in units of the cell vectors:
Y1 0.0000 0.0000 0.0000
Y2 0.0000 0.0000 0.5000
Y3 0.0643 0.4273 0.2500
Y4 0.4273 0.0643 0.7500
Y5 0.5727 0.9357 0.2500
Y6 0.9357 0.5727 0.7500
Ir1 0.1730 0.8270 0.2500
Ir2 0.8270 0.1730 0.7500
Pb1 0.4392 0.5608 0.7500
Pb2 0.5608 0.4392 0.2500


Copy entry 2 word for word.
CaAsH5O6: simulated powder diffraction line list (Cu Kα (weighted mean of Kα1 and Kα2)), based on a cell relaxed with GGA-PBE.

Main lines, by angle (2θ = 10–90°):
two_theta	d_spacing	I/Imax
11.5	7.717	100
17.1	5.199	28
20.6	4.305	97
28.8	3.096	72
29.1	3.069	64
32.4	2.761	36
33.3	2.689	46
35.5	2.529	26
36.6	2.458	16
47.5	1.915	22

Crystal structure
Unit cell a=8.4133 b=8.4133 c=6.0602 alpha=101.89 beta=101.89 gamma=133.07
Sites, in units of the cell vectors:
Ca1 0.1715 0.8285 0.5000
Ca2 0.8285 0.1715 0.0000
As1 0.3038 0.6553 0.9845
As2 0.6553 0.3038 0.4845
H1 0.1541 0.3246 0.5198
H2 0.2435 0.2626 0.3493
H3 0.2626 0.2435 0.8493
H4 0.3246 0.1541 0.0198
H5 0.5289 0.6635 0.6125
H6 0.6227 0.9573 0.4029
H7 0.6635 0.5289 0.1125
H8 0.7502 0.7698 0.2739
H9 0.7698 0.7502 0.7739
H10 0.9573 0.6227 0.9029
O1 0.1164 0.6170 0.1029
O2 0.1648 0.3668 0.8226
O3 0.1777 0.3258 0.3647
O4 0.3258 0.1777 0.8647
O5 0.3668 0.1648 0.3226
O6 0.3717 0.8181 0.8219
O7 0.6021 0.8528 0.2512
O8 0.6170 0.1164 0.6029
O9 0.6988 0.8068 0.7597
O10 0.8068 0.6988 0.2597
O11 0.8181 0.3717 0.3219
O12 0.8528 0.6021 0.7512